# 1
Starting from a PBE-relaxed structure, the X-ray diffraction stick pattern of CeTm3In4 was computed for Cu Kα, 1.54184 Å.
Peak positions follow from Bragg's law for the DFT cell and can differ from measured ones.

Structure:
Lattice parameters (Å, degrees): 10.7161 7.2419 5.4645 90.00 90.00 90.00
Space group Pmma (No. 51)
One atom of each set of equivalent atoms:
Ce 0.0000 0.0000 0.0000 [2 per cell]
Tm 0.0000 0.5000 0.0000 [2 per cell]
Tm 0.2500 0.0000 0.4341 [2 per cell]
Tm 0.2500 0.5000 0.4240 [2 per cell]
In 0.0000 0.2609 0.5000 [4 per cell]
In 0.2500 0.2603 0.9216 [4 per cell]

Most intense lines, 2θ from 15° to 90°, by angle:
(1 2 1), 2θ = 30.8°, intensity 8; (0 0 2), 2θ = 32.8°, intensity 20; (4 0 0), 2θ = 33.4°, intensity 30; (1 0 2), 2θ = 33.9°, intensity 10; (2 2 1), 2θ = 34.1°, intensity 100; (4 0 2), 2θ = 47.5°, intensity 14; (0 4 0), 2θ = 50.4°, intensity 9; (6 2 1), 2θ = 60.2°, intensity 19; (4 4 0), 2θ = 61.9°, intensity 10; (4 4 2), 2θ = 71.8°, intensity 8

=====

# 2
Starting from a PBE-relaxed structure, the X-ray diffraction stick pattern of CeY5In3 was computed for Cu Kα, 1.54184 Å.
Peak positions follow from Bragg's law for the DFT cell and can differ from measured ones.

Structure:
Lattice parameters (Å, degrees): 9.3921 9.3921 6.7320 90.00 90.00 120.00
Space group P6_3/mcm (No. 193)
One atom of each set of equivalent atoms:
Ce 0.0000 0.0000 0.0000 [2 per cell]
Y 0.0000 0.3252 0.2500 [6 per cell]
Y 0.3333 0.6667 0.0000 [4 per cell]
In 0.0000 0.3427 0.7500 [6 per cell]

Most intense lines, 2θ from 15° to 90°, by angle:
(1 1 2), 2θ = 32.7°, intensity 93; (3 0 0), 2θ = 33.0°, intensity 100; (3 0 2), 2θ = 42.8°, intensity 10; (2 2 2), 2θ = 47.2°, intensity 32; (4 1 2), 2θ = 58.8°, intensity 33; (3 3 0), 2θ = 59.0°, intensity 18; (3 0 4), 2θ = 65.3°, intensity 27; (6 0 0), 2θ = 69.3°, intensity 11; (5 2 2), 2θ = 78.8°, intensity 13; (3 3 4), 2θ = 84.5°, intensity 13

=====

# 3
Starting from a PBE-relaxed structure, the X-ray diffraction stick pattern of CeZn3In3 was computed for Cu Kα, 1.54184 Å.
Peak positions follow from Bragg's law for the DFT cell and can differ from measured ones.

Structure:
Lattice parameters (Å, degrees): 7.3561 7.3561 7.3561 90.00 90.00 90.00
Space group Pm-3n (No. 223)
One atom of each set of equivalent atoms:
Ce 0.0000 0.0000 0.0000 [2 per cell]
Zn 0.0000 0.2500 0.5000 [6 per cell]
In 0.0000 0.5000 0.2500 [6 per cell]

Most intense lines, 2θ from 15° to 90°, by angle:
(2 0 0), 2θ = 24.2°, intensity 42; (2 1 1), 2θ = 29.7°, intensity 100; (2 2 2), 2θ = 42.6°, intensity 21; (3 2 1), 2θ = 46.2°, intensity 59; (4 0 0), 2θ = 49.6°, intensity 27; (4 2 0), 2θ = 55.9°, intensity 16; (3 3 2), 2θ = 58.9°, intensity 14; (5 2 1), 2θ = 70.1°, intensity 16; (4 4 0), 2θ = 72.7°, intensity 17; (6 1 1), 2θ = 80.5°, intensity 17